Entry 1:
This entry pairs a crystal structure of Mn3Sb5I3O9 with its theoretical XRD peak list. Radiation: copper Kα. Structure: the PBE+U geometry in Alexandria.

Top 10 peaks for 2θ = 15–90°, sorted by position:
- 2θ 20.11, 4.416 Å, rel. 46
- 2θ 20.49, 4.335 Å, rel. 39
- 2θ 23.25, 3.825 Å, rel. 39
- 2θ 26.49, 3.365 Å, rel. 71
- 2θ 29.24, 3.054 Å, rel. 100
- 2θ 30.54, 2.927 Å, rel. 22
- 2θ 32.19, 2.781 Å, rel. 27
- 2θ 33.64, 2.664 Å, rel. 44
- 2θ 34.57, 2.595 Å, rel. 32
- 2θ 39.65, 2.273 Å, rel. 22

Crystal structure
```
40
Lattice="8.336 0.000 0.000 2.296 8.954 0.000 0.737 2.078 12.547" Properties=species:S:1:pos:R:3 pbc="T T T"
Mn 1.361 4.493 1.586
Mn 4.017 5.933 8.218
Mn 4.792 5.620 11.724
Mn 6.577 5.412 0.824
Mn 7.352 5.099 4.329
Mn 10.008 6.539 10.962
Sb 1.921 3.944 6.316
Sb 2.410 3.394 9.955
Sb 4.232 8.813 12.423
Sb 3.926 6.259 3.232
Sb 4.677 3.077 2.907
Sb 6.692 7.955 9.641
Sb 7.443 4.773 9.315
Sb 7.137 2.219 0.124
Sb 8.959 7.638 2.592
Sb 9.447 7.087 6.231
I 3.332 8.689 8.762
I 2.529 1.456 0.792
I 4.832 3.115 7.385
I 6.537 7.917 5.162
I 8.840 9.576 11.755
I 8.037 2.343 3.786
O 1.440 3.851 8.236
O 2.310 6.861 1.776
O 2.758 5.804 6.552
O 3.284 7.038 12.332
O 3.242 5.217 10.089
O 3.077 4.399 2.820
O 4.817 6.407 1.397
O 5.870 7.612 11.462
O 5.898 6.251 8.916
O 5.471 4.781 3.631
O 5.499 3.420 1.085
O 6.552 4.625 11.151
O 8.292 6.633 9.727
O 8.127 5.815 2.458
O 8.085 3.994 0.215
O 8.611 5.228 5.995
O 9.059 4.171 10.772
O 9.929 7.181 4.312
```

=====

Entry 2:
This entry pairs a crystal structure of Mn3Sb2I4O4 with its theoretical XRD peak list. Radiation: copper Kα. Structure: the PBE+U geometry in Alexandria.

Top 10 peaks for 2θ = 15–90°, sorted by position:
- 2θ 21.05, 4.220 Å, rel. 49
- 2θ 22.70, 3.918 Å, rel. 66
- 2θ 23.21, 3.833 Å, rel. 40
- 2θ 25.30, 3.520 Å, rel. 38
- 2θ 26.87, 3.318 Å, rel. 68
- 2θ 28.47, 3.135 Å, rel. 100
- 2θ 33.60, 2.667 Å, rel. 60
- 2θ 35.71, 2.514 Å, rel. 36
- 2θ 36.39, 2.469 Å, rel. 58
- 2θ 43.73, 2.070 Å, rel. 36

Crystal structure
```
26
Lattice="3.318 -7.394 0.000 3.318 7.394 0.000 -0.026 0.000 15.418" Properties=species:S:1:pos:R:3 pbc="T T T"
Mn 1.659 3.697 0.000
Mn 3.298 3.756 11.563
Mn 3.311 3.662 3.854
Mn 1.646 -3.697 7.709
Mn 3.298 -3.662 11.563
Mn 3.311 -3.756 3.854
Sb 1.645 2.384 8.666
Sb 1.658 -2.384 0.957
Sb 4.952 2.384 14.461
Sb 4.965 -2.384 6.752
I 1.660 1.751 2.389
I 1.622 1.501 13.444
I 1.634 -1.501 5.735
I 1.647 -1.751 10.098
I 4.962 1.751 5.320
I 4.975 1.501 9.682
I 4.988 -1.501 1.973
I 4.949 -1.751 13.029
O 1.645 3.346 10.389
O 2.916 3.696 7.711
O 3.680 3.696 15.415
O 1.658 -3.346 2.680
O 4.951 3.346 12.738
O 2.929 -3.696 0.002
O 3.693 -3.696 7.706
O 4.964 -3.346 5.029
```

=====

Entry 3:
This entry pairs a crystal structure of Sr2MnI2O2 with its theoretical XRD peak list. Radiation: copper Kα. Structure: the PBE+U geometry in Alexandria.

Top 10 peaks for 2θ = 15–90°, sorted by position:
- 2θ 24.61, 3.618 Å, rel. 69
- 2θ 29.69, 3.009 Å, rel. 100
- 2θ 30.18, 2.961 Å, rel. 68
- 2θ 34.51, 2.599 Å, rel. 29
- 2θ 37.13, 2.422 Å, rel. 92
- 2θ 42.48, 2.128 Å, rel. 49
- 2θ 49.71, 1.834 Å, rel. 20
- 2θ 52.99, 1.728 Å, rel. 27
- 2θ 57.67, 1.598 Å, rel. 49
- 2θ 62.23, 1.492 Å, rel. 19

Crystal structure
```
7
Lattice="-2.128 2.128 10.306 2.128 -2.128 10.306 2.128 2.128 -10.306" Properties=species:S:1:pos:R:3 pbc="T T T"
Sr 0.000 0.000 1.620
Sr 0.000 0.000 18.992
Mn 0.000 0.000 10.306
I 0.000 0.000 7.021
I 0.000 0.000 13.591
O 2.128 0.000 0.000
O 0.000 2.128 0.000
```